# 1
SrTaHg2: simulated powder XRD pattern (CuKα), based on a DFT-relaxed cell (PBE, Alexandria).
Neutral-atom scattering factors, no anomalous dispersion.

Largest 6 diffraction maxima, by angle, 10 to 90 degrees two-theta:
2θ/deg  intensity
12.1  52
32.7  100
35.7  96
37.6  69
43.7  29
59.0  38

Cell: 3.171 4.138 7.303 Å, 90.00 90.00 90.00°
Element x y z (fractional)
Sr1 0.000 0.000 0.000
Ta1 0.000 0.000 0.500
Hg1 0.500 0.500 0.294
Hg2 0.500 0.500 0.706



# 2
LiB6C6: simulated powder XRD pattern (CuKα), based on a DFT-relaxed cell (PBE, Alexandria).
Neutral-atom scattering factors, no anomalous dispersion.

Largest 6 diffraction maxima, by angle, 10 to 90 degrees two-theta:
2θ/deg  intensity
15.5  100
20.7  72
25.9  39
31.2  70
38.0  72
68.7  43

Cell: 2.731 2.731 17.199 Å, 90.00 90.00 120.00°
Element x y z (fractional)
Li1 0.000 0.000 0.000
B1 0.333 0.667 0.101
B2 0.333 0.667 0.407
B3 0.333 0.667 0.707
B4 0.667 0.333 0.293
B5 0.667 0.333 0.593
B6 0.667 0.333 0.899
C1 0.333 0.667 0.291
C2 0.333 0.667 0.590
C3 0.333 0.667 0.902
C4 0.667 0.333 0.098
C5 0.667 0.333 0.410
C6 0.667 0.333 0.709



# 3
La2NdTm3: simulated powder XRD pattern (CuKα), based on a DFT-relaxed cell (PBE, Alexandria).
Neutral-atom scattering factors, no anomalous dispersion.

Largest 6 diffraction maxima, by angle, 10 to 90 degrees two-theta:
2θ/deg  intensity
27.6  36
30.1  100
32.8  20
33.6  41
36.4  56
61.1  19

Cell: 9.083 9.083 7.084 Å, 101.24 101.24 45.67°
Element x y z (fractional)
La1 0.169 0.186 0.090
La2 0.186 0.169 0.590
La3 0.814 0.831 0.410
La4 0.831 0.814 0.910
Nd1 0.232 0.768 0.250
Nd2 0.768 0.232 0.750
Tm1 0.230 0.770 0.750
Tm2 0.361 0.372 0.435
Tm3 0.372 0.361 0.935
Tm4 0.628 0.639 0.065
Tm5 0.639 0.628 0.565
Tm6 0.770 0.230 0.250



# 4
Mg6FeCo: simulated powder XRD pattern (CuKα), based on a DFT-relaxed cell (PBE, Alexandria).
Neutral-atom scattering factors, no anomalous dispersion.

Largest 6 diffraction maxima, by angle, 10 to 90 degrees two-theta:
2θ/deg  intensity
16.5  25
17.1  50
34.6  44
38.6  45
38.8  74
39.8  100

Cell: 4.665 6.120 6.120 Å, 57.79 90.00 90.00°
Element x y z (fractional)
Mg1 0.000 0.000 0.000
Mg2 0.000 0.017 0.492
Mg3 0.000 0.492 0.017
Mg4 0.500 0.344 0.819
Mg5 0.500 0.819 0.344
Mg6 0.500 0.837 0.837
Fe1 0.000 0.477 0.477
Co1 0.500 0.362 0.362



# 5
CsNa2AsCl6: simulated powder XRD pattern (CuKα), based on a DFT-relaxed cell (PBE, Alexandria).
Neutral-atom scattering factors, no anomalous dispersion.

Largest 6 diffraction maxima, by angle, 10 to 90 degrees two-theta:
2θ/deg  intensity
16.8  100
22.9  69
24.6  43
28.2  61
29.9  40
36.9  55

Cell: 7.807 7.807 7.807 Å, 55.14 55.14 55.14°
Element x y z (fractional)
Cs1 0.000 0.000 0.000
Na1 0.264 0.264 0.264
Na2 0.796 0.796 0.796
As1 0.459 0.459 0.459
Cl1 0.079 0.589 0.475
Cl2 0.230 0.522 0.842
Cl3 0.475 0.079 0.589
Cl4 0.522 0.842 0.230
Cl5 0.589 0.475 0.079
Cl6 0.842 0.230 0.522



# 6
AlAg: simulated powder XRD pattern (CuKα), based on a DFT-relaxed cell (PBE, Alexandria).
Neutral-atom scattering factors, no anomalous dispersion.

Largest 6 diffraction maxima, by angle, 10 to 90 degrees two-theta:
2θ/deg  intensity
19.7  31
26.8  64
40.9  100
45.7  20
59.2  16
74.3  24

Cell: 5.173 5.173 5.173 Å, 50.61 50.61 50.61°
Element x y z (fractional)
Al1 0.102 0.102 0.102
Al2 0.898 0.898 0.898
Ag1 0.294 0.294 0.294
Ag2 0.706 0.706 0.706



# 7
GaGe4: simulated powder XRD pattern (CuKα), based on a DFT-relaxed cell (PBE, Alexandria).
Neutral-atom scattering factors, no anomalous dispersion.

Largest 6 diffraction maxima, by angle, 10 to 90 degrees two-theta:
2θ/deg  intensity
31.6  74
36.7  100
52.9  69
62.9  30
66.1  23
89.5  31

Cell: 4.898 4.898 4.898 Å, 90.00 90.00 90.00°
Element x y z (fractional)
Ga1 0.000 0.000 0.000
Ge1 0.000 0.000 0.500
Ge2 0.000 0.500 0.000
Ge3 0.500 0.000 0.000
Ge4 0.500 0.500 0.500



# 8
Pu2UPd: simulated powder XRD pattern (CuKα), based on a DFT-relaxed cell (PBE, Alexandria).
Neutral-atom scattering factors, no anomalous dispersion.

Largest 6 diffraction maxima, by angle, 10 to 90 degrees two-theta:
2θ/deg  intensity
36.1  100
37.3  46
53.8  16
64.1  19
66.5  35
76.6  12

Cell: 3.407 3.407 7.289 Å, 90.00 90.00 90.00°
Element x y z (fractional)
Pu1 0.000 0.000 0.246
Pu2 0.000 0.000 0.754
U1 0.500 0.500 0.500
Pd1 0.500 0.500 0.000